1.
Simulated powder diffractogram of LaTcAgH6 for Cu Kα, 1.54184 Å, from a DFT-relaxed cell (PBE, Alexandria).
Lines closer than 0.1° are merged.

Top 12 peaks for 2θ = 10–80°, sorted by position:
4.551 Å, 2θ = 19.5°, I = 4.3
3.084 Å, 2θ = 29.0°, I = 100.0
2.421 Å, 2θ = 37.1°, I = 52.4
2.275 Å, 2θ = 39.6°, I = 14.1
2.138 Å, 2θ = 42.3°, I = 3.5
1.904 Å, 2θ = 47.8°, I = 25.0
1.658 Å, 2θ = 55.4°, I = 32.7
1.497 Å, 2θ = 62.0°, I = 22.3
1.427 Å, 2θ = 65.4°, I = 9.5
1.398 Å, 2θ = 66.9°, I = 9.0
1.229 Å, 2θ = 77.7°, I = 5.7
1.211 Å, 2θ = 79.1°, I = 5.7

```
data_LaTcAgH6
_symmetry_space_group_name_H-M 'P 1'
_symmetry_Int_Tables_number 1
_symmetry_space_group_name_Hall 'P 1'
_cell_length_a 4.8424
_cell_length_b 4.8424
_cell_length_c 4.5509
_cell_angle_alpha 90.00
_cell_angle_beta 90.00
_cell_angle_gamma 120.00
loop_
_atom_site_label
_atom_site_type_symbol
_atom_site_fract_x
_atom_site_fract_y
_atom_site_fract_z
_atom_site_occupancy
La1 La 0.0000 0.0000 0.0000 1
Tc1 Tc 0.6667 0.3333 0.5000 1
Ag1 Ag 0.3333 0.6667 0.5000 1
H1 H 0.5214 0.0429 0.2226 1
H2 H 0.5214 0.0429 0.7774 1
H3 H 0.5214 0.4786 0.2226 1
H4 H 0.5214 0.4786 0.7774 1
H5 H 0.9571 0.4786 0.2226 1
H6 H 0.9571 0.4786 0.7774 1
```

***

2.
Simulated powder diffractogram of LiAg2H8Pd3 for Cu Kα, 1.54184 Å, from a DFT-relaxed cell (PBE, Alexandria).
Lines closer than 0.1° are merged.

Top 12 peaks for 2θ = 10–80°, sorted by position:
4.712 Å, 2θ = 18.8°, I = 61.0
4.081 Å, 2θ = 21.8°, I = 15.0
2.886 Å, 2θ = 31.0°, I = 14.9
2.462 Å, 2θ = 36.5°, I = 100.0
2.456 Å, 2θ = 36.6°, I = 31.1
2.358 Å, 2θ = 38.2°, I = 56.7
2.349 Å, 2θ = 38.3°, I = 21.0
2.040 Å, 2θ = 44.4°, I = 21.0
1.572 Å, 2θ = 58.8°, I = 31.6
1.445 Å, 2θ = 64.5°, I = 19.2
1.440 Å, 2θ = 64.7°, I = 18.7
1.231 Å, 2θ = 77.6°, I = 15.4

```
data_LiAg2H8Pd3
_symmetry_space_group_name_H-M 'P 1'
_symmetry_Int_Tables_number 1
_symmetry_space_group_name_Hall 'P 1'
_cell_length_a 5.7619
_cell_length_b 5.7619
_cell_length_c 5.7619
_cell_angle_alpha 60.21
_cell_angle_beta 60.21
_cell_angle_gamma 60.21
loop_
_atom_site_label
_atom_site_type_symbol
_atom_site_fract_x
_atom_site_fract_y
_atom_site_fract_z
_atom_site_occupancy
Li1 Li 0.0000 0.0000 0.0000 1
Ag1 Ag 0.3813 0.3813 0.3813 1
Ag2 Ag 0.7511 0.7511 0.7511 1
H1 H 0.1271 0.1271 0.5747 1
H2 H 0.1271 0.5747 0.1271 1
H3 H 0.1502 0.1502 0.1502 1
H4 H 0.1756 0.6401 0.6401 1
H5 H 0.5747 0.1271 0.1271 1
H6 H 0.6142 0.6142 0.6142 1
H7 H 0.6401 0.1756 0.6401 1
H8 H 0.6401 0.6401 0.1756 1
Pd1 Pd 0.3799 0.3799 0.8815 1
Pd2 Pd 0.3799 0.8815 0.3799 1
Pd3 Pd 0.8815 0.3799 0.3799 1
```

***

3.
Simulated powder diffractogram of Na2MnAgH6 for Cu Kα, 1.54184 Å, from a DFT-relaxed cell (PBE, Alexandria).
Lines closer than 0.1° are merged.

Top 12 peaks for 2θ = 10–80°, sorted by position:
4.265 Å, 2θ = 20.8°, I = 22.3
3.701 Å, 2θ = 24.0°, I = 42.0
3.680 Å, 2θ = 24.2°, I = 20.7
2.617 Å, 2θ = 34.3°, I = 50.4
2.609 Å, 2θ = 34.4°, I = 100.0
2.133 Å, 2θ = 42.4°, I = 11.2
1.853 Å, 2θ = 49.2°, I = 9.3
1.848 Å, 2θ = 49.3°, I = 9.2
1.840 Å, 2θ = 49.5°, I = 9.0
1.511 Å, 2θ = 61.3°, I = 12.7
1.509 Å, 2θ = 61.5°, I = 16.8
1.506 Å, 2θ = 61.6°, I = 16.7

```
data_Na2MnAgH6
_symmetry_space_group_name_H-M 'P 1'
_symmetry_Int_Tables_number 1
_symmetry_space_group_name_Hall 'P 1'
_cell_length_a 5.2102
_cell_length_b 5.2201
_cell_length_c 5.2219
_cell_angle_alpha 119.77
_cell_angle_beta 119.84
_cell_angle_gamma 90.25
loop_
_atom_site_label
_atom_site_type_symbol
_atom_site_fract_x
_atom_site_fract_y
_atom_site_fract_z
_atom_site_occupancy
Na1 Na 0.2473 0.2486 0.4976 1
Na2 Na 0.7527 0.7514 0.5024 1
Mn1 Mn 0.5000 0.0000 0.0000 1
Ag1 Ag 0.0000 0.5000 0.0000 1
H1 H 0.2685 0.2292 0.9993 1
H2 H 0.2679 0.7695 0.0001 1
H3 H 0.2705 0.7716 0.5419 1
H4 H 0.7295 0.2284 0.4581 1
H5 H 0.7321 0.2305 0.9999 1
H6 H 0.7315 0.7708 0.0007 1
```

***

4.
Simulated powder diffractogram of AgMoH2S for Cu Kα, 1.54184 Å, from a DFT-relaxed cell (PBE, Alexandria).
Lines closer than 0.1° are merged.

Top 12 peaks for 2θ = 10–80°, sorted by position:
5.824 Å, 2θ = 15.2°, I = 10.4
3.618 Å, 2θ = 24.6°, I = 100.0
2.912 Å, 2θ = 30.7°, I = 56.0
2.558 Å, 2θ = 35.1°, I = 73.7
2.269 Å, 2θ = 39.7°, I = 56.8
1.922 Å, 2θ = 47.3°, I = 61.1
1.809 Å, 2θ = 50.4°, I = 25.9
1.618 Å, 2θ = 56.9°, I = 19.1
1.537 Å, 2θ = 60.2°, I = 29.5
1.414 Å, 2θ = 66.1°, I = 24.1
1.351 Å, 2θ = 69.6°, I = 10.3
1.265 Å, 2θ = 75.1°, I = 15.0

```
data_AgMoH2S
_symmetry_space_group_name_H-M 'P 1'
_symmetry_Int_Tables_number 1
_symmetry_space_group_name_Hall 'P 1'
_cell_length_a 3.6180
_cell_length_b 3.6180
_cell_length_c 5.8243
_cell_angle_alpha 90.00
_cell_angle_beta 90.00
_cell_angle_gamma 90.00
loop_
_atom_site_label
_atom_site_type_symbol
_atom_site_fract_x
_atom_site_fract_y
_atom_site_fract_z
_atom_site_occupancy
Ag1 Ag 0.0000 0.0000 0.0000 1
Mo1 Mo 0.0000 0.0000 0.5000 1
H1 H 0.0000 0.5000 0.5000 1
H2 H 0.5000 0.0000 0.5000 1
S1 S 0.5000 0.5000 0.0000 1
```

***

5.
Simulated powder diffractogram of AgH4N for Cu Kα, 1.54184 Å, from a DFT-relaxed cell (PBE, Alexandria).
Lines closer than 0.1° are merged.

Top 12 peaks for 2θ = 10–80°, sorted by position:
5.622 Å, 2θ = 15.8°, I = 100.0
3.505 Å, 2θ = 25.4°, I = 67.4
3.365 Å, 2θ = 26.5°, I = 31.4
2.811 Å, 2θ = 31.8°, I = 34.1
2.768 Å, 2θ = 32.3°, I = 18.8
2.694 Å, 2θ = 33.3°, I = 18.2
2.512 Å, 2θ = 35.7°, I = 24.4
2.483 Å, 2θ = 36.2°, I = 47.0
2.172 Å, 2θ = 41.6°, I = 19.0
2.138 Å, 2θ = 42.3°, I = 29.7
1.972 Å, 2θ = 46.0°, I = 26.8
1.930 Å, 2θ = 47.1°, I = 21.3

```
data_AgH4N
_symmetry_space_group_name_H-M 'P 1'
_symmetry_Int_Tables_number 1
_symmetry_space_group_name_Hall 'P 1'
_cell_length_a 6.0372
_cell_length_b 2.7678
_cell_length_c 7.2279
_cell_angle_alpha 90.00
_cell_angle_beta 111.37
_cell_angle_gamma 90.00
loop_
_atom_site_label
_atom_site_type_symbol
_atom_site_fract_x
_atom_site_fract_y
_atom_site_fract_z
_atom_site_occupancy
Ag1 Ag 0.0000 0.0137 0.2500 1
Ag2 Ag 0.0000 0.9863 0.7500 1
H1 H 0.2582 0.4884 0.8818 1
H2 H 0.2582 0.5116 0.3818 1
H3 H 0.4706 0.2084 0.5732 1
H4 H 0.4706 0.7916 0.0732 1
H5 H 0.5294 0.2084 0.9268 1
H6 H 0.5294 0.7916 0.4268 1
H7 H 0.7418 0.4884 0.6182 1
H8 H 0.7418 0.5116 0.1182 1
N1 N 0.5000 0.5000 0.0000 1
N2 N 0.5000 0.5000 0.5000 1
```

***

6.
Simulated powder diffractogram of AgH3N for Cu Kα, 1.54184 Å, from a DFT-relaxed cell (PBE, Alexandria).
Lines closer than 0.1° are merged.

Top 12 peaks for 2θ = 10–80°, sorted by position:
8.754 Å, 2θ = 10.1°, I = 100.0
4.377 Å, 2θ = 20.3°, I = 34.9
2.918 Å, 2θ = 30.6°, I = 11.4
2.575 Å, 2θ = 34.8°, I = 15.6
2.470 Å, 2θ = 36.4°, I = 29.6
2.319 Å, 2θ = 38.8°, I = 7.2
2.242 Å, 2θ = 40.2°, I = 8.6
2.220 Å, 2θ = 40.6°, I = 20.3
2.049 Å, 2θ = 44.2°, I = 8.3
1.931 Å, 2θ = 47.1°, I = 12.3
1.668 Å, 2θ = 55.1°, I = 7.5
1.367 Å, 2θ = 68.7°, I = 6.1

```
data_AgH3N
_symmetry_space_group_name_H-M 'P 1'
_symmetry_Int_Tables_number 1
_symmetry_space_group_name_Hall 'P 1'
_cell_length_a 3.0960
_cell_length_b 8.7541
_cell_length_c 5.5776
_cell_angle_alpha 90.00
_cell_angle_beta 123.73
_cell_angle_gamma 90.00
loop_
_atom_site_label
_atom_site_type_symbol
_atom_site_fract_x
_atom_site_fract_y
_atom_site_fract_z
_atom_site_occupancy
Ag1 Ag 0.0000 0.0100 0.0000 1
Ag2 Ag 0.0000 0.9900 0.5000 1
H1 H 0.1083 0.4170 0.1764 1
H2 H 0.1083 0.5830 0.6764 1
H3 H 0.5689 0.3122 0.9981 1
H4 H 0.5689 0.6878 0.4981 1
H5 H 0.7520 0.4166 0.8197 1
H6 H 0.7520 0.5834 0.3197 1
N1 N 0.7360 0.4127 0.9980 1
N2 N 0.7360 0.5873 0.4980 1
```

***

7.
Simulated powder diffractogram of Sr6Ag2HN for Cu Kα, 1.54184 Å, from a DFT-relaxed cell (PBE, Alexandria).
Lines closer than 0.1° are merged.

Top 12 peaks for 2θ = 10–80°, sorted by position:
3.186 Å, 2θ = 28.0°, I = 29.1
3.161 Å, 2θ = 28.2°, I = 24.9
3.106 Å, 2θ = 28.7°, I = 100.0
3.029 Å, 2θ = 29.5°, I = 87.3
2.865 Å, 2θ = 31.2°, I = 19.1
2.674 Å, 2θ = 33.5°, I = 51.3
2.620 Å, 2θ = 34.2°, I = 35.0
2.590 Å, 2θ = 34.6°, I = 23.6
2.366 Å, 2θ = 38.0°, I = 20.4
1.872 Å, 2θ = 48.6°, I = 21.2
1.788 Å, 2θ = 51.1°, I = 18.6
1.587 Å, 2θ = 58.1°, I = 15.5

```
data_Sr6Ag2HN
_symmetry_space_group_name_H-M 'P 1'
_symmetry_Int_Tables_number 1
_symmetry_space_group_name_Hall 'P 1'
_cell_length_a 7.4230
_cell_length_b 7.7108
_cell_length_c 12.8392
_cell_angle_alpha 90.00
_cell_angle_beta 125.27
_cell_angle_gamma 90.00
loop_
_atom_site_label
_atom_site_type_symbol
_atom_site_fract_x
_atom_site_fract_y
_atom_site_fract_z
_atom_site_occupancy
Sr1 Sr 0.1635 0.0138 0.2402 1
Sr2 Sr 0.1635 0.4862 0.7402 1
Sr3 Sr 0.2289 0.7161 0.0396 1
Sr4 Sr 0.2289 0.7839 0.5396 1
Sr5 Sr 0.3259 0.1902 0.0395 1
Sr6 Sr 0.3259 0.3098 0.5395 1
Sr7 Sr 0.6741 0.6902 0.4605 1
Sr8 Sr 0.6741 0.8098 0.9605 1
Sr9 Sr 0.7711 0.2161 0.4604 1
Sr10 Sr 0.7711 0.2839 0.9604 1
Sr11 Sr 0.8365 0.5138 0.2598 1
Sr12 Sr 0.8365 0.9862 0.7598 1
Ag1 Ag 0.2707 0.0613 0.7501 1
Ag2 Ag 0.2707 0.4387 0.2501 1
Ag3 Ag 0.7293 0.5613 0.7499 1
Ag4 Ag 0.7293 0.9387 0.2499 1
H1 H 0.5000 0.0000 0.5000 1
H2 H 0.5000 0.5000 0.0000 1
N1 N 0.0000 0.0000 0.0000 1
N2 N 0.0000 0.5000 0.5000 1
```

***

8.
Simulated powder diffractogram of Na2AgH3 for Cu Kα, 1.54184 Å, from a DFT-relaxed cell (PBE, Alexandria).
Lines closer than 0.1° are merged.

Top 12 peaks for 2θ = 10–80°, sorted by position:
6.282 Å, 2θ = 14.1°, I = 64.0
4.944 Å, 2θ = 17.9°, I = 100.0
3.867 Å, 2θ = 23.0°, I = 24.4
3.469 Å, 2θ = 25.7°, I = 27.3
3.415 Å, 2θ = 26.1°, I = 29.8
3.232 Å, 2θ = 27.6°, I = 27.3
2.803 Å, 2θ = 31.9°, I = 42.4
2.758 Å, 2θ = 32.5°, I = 50.9
2.699 Å, 2θ = 33.2°, I = 53.3
2.520 Å, 2θ = 35.6°, I = 32.1
2.417 Å, 2θ = 37.2°, I = 57.6
1.983 Å, 2θ = 45.7°, I = 26.4

```
data_Na2AgH3
_symmetry_space_group_name_H-M 'P 1'
_symmetry_Int_Tables_number 1
_symmetry_space_group_name_Hall 'P 1'
_cell_length_a 7.0458
_cell_length_b 3.3229
_cell_length_c 13.8777
_cell_angle_alpha 90.00
_cell_angle_beta 90.00
_cell_angle_gamma 90.00
loop_
_atom_site_label
_atom_site_type_symbol
_atom_site_fract_x
_atom_site_fract_y
_atom_site_fract_z
_atom_site_occupancy
Na1 Na 0.0787 0.2500 0.2240 1
Na2 Na 0.2212 0.2500 0.9521 1
Na3 Na 0.2788 0.7500 0.4521 1
Na4 Na 0.4213 0.7500 0.7240 1
Na5 Na 0.5787 0.2500 0.2760 1
Na6 Na 0.7212 0.2500 0.5479 1
Na7 Na 0.7788 0.7500 0.0479 1
Na8 Na 0.9213 0.7500 0.7760 1
Ag1 Ag 0.1326 0.2500 0.6271 1
Ag2 Ag 0.3674 0.7500 0.1271 1
Ag3 Ag 0.6326 0.2500 0.8729 1
Ag4 Ag 0.8674 0.7500 0.3729 1
H1 H 0.0054 0.2500 0.3961 1
H2 H 0.1347 0.7500 0.0666 1
H3 H 0.1652 0.2500 0.7640 1
H4 H 0.3348 0.7500 0.2640 1
H5 H 0.3653 0.2500 0.5666 1
H6 H 0.4946 0.7500 0.8961 1
H7 H 0.5054 0.2500 0.1039 1
H8 H 0.6347 0.7500 0.4334 1
H9 H 0.6652 0.2500 0.7360 1
H10 H 0.8348 0.7500 0.2360 1
H11 H 0.8653 0.2500 0.9334 1
H12 H 0.9946 0.7500 0.6039 1
```

***

9.
Simulated powder diffractogram of NaAgHPd for Cu Kα, 1.54184 Å, from a DFT-relaxed cell (PBE, Alexandria).
Lines closer than 0.1° are merged.

Top 12 peaks for 2θ = 10–80°, sorted by position:
4.793 Å, 2θ = 18.5°, I = 75.8
2.586 Å, 2θ = 34.7°, I = 70.1
2.489 Å, 2θ = 36.1°, I = 27.5
2.355 Å, 2θ = 38.2°, I = 100.0
2.202 Å, 2θ = 41.0°, I = 28.5
2.001 Å, 2θ = 45.3°, I = 14.6
1.934 Å, 2θ = 47.0°, I = 16.1
1.851 Å, 2θ = 49.2°, I = 26.2
1.758 Å, 2θ = 52.0°, I = 17.2
1.650 Å, 2θ = 55.7°, I = 15.1
1.417 Å, 2θ = 65.9°, I = 21.0
1.299 Å, 2θ = 72.8°, I = 14.1

```
data_NaAgHPd
_symmetry_space_group_name_H-M 'P 1'
_symmetry_Int_Tables_number 1
_symmetry_space_group_name_Hall 'P 1'
_cell_length_a 2.9132
_cell_length_b 4.4049
_cell_length_c 9.5859
_cell_angle_alpha 90.00
_cell_angle_beta 90.00
_cell_angle_gamma 90.00
loop_
_atom_site_label
_atom_site_type_symbol
_atom_site_fract_x
_atom_site_fract_y
_atom_site_fract_z
_atom_site_occupancy
Na1 Na 0.0000 0.0000 0.0000 1
Na2 Na 0.0000 0.5000 0.5000 1
Ag1 Ag 0.5000 0.0000 0.6936 1
Ag2 Ag 0.5000 0.5000 0.1936 1
H1 H 0.5000 0.0000 0.4074 1
H2 H 0.5000 0.5000 0.9074 1
Pd1 Pd 0.0000 0.0000 0.3045 1
Pd2 Pd 0.0000 0.5000 0.8045 1
```

***

10.
Simulated powder diffractogram of NaAg2H8Pt3 for Cu Kα, 1.54184 Å, from a DFT-relaxed cell (PBE, Alexandria).
Lines closer than 0.1° are merged.

Top 12 peaks for 2θ = 10–80°, sorted by position:
4.963 Å, 2θ = 17.9°, I = 59.1
4.797 Å, 2θ = 18.5°, I = 69.2
2.567 Å, 2θ = 34.9°, I = 37.3
2.520 Å, 2θ = 35.6°, I = 93.5
2.498 Å, 2θ = 36.0°, I = 78.4
2.482 Å, 2θ = 36.2°, I = 46.3
2.399 Å, 2θ = 37.5°, I = 100.0
2.095 Å, 2θ = 43.2°, I = 49.3
1.629 Å, 2θ = 56.5°, I = 25.3
1.500 Å, 2θ = 61.9°, I = 33.8
1.463 Å, 2θ = 63.6°, I = 33.0
1.260 Å, 2θ = 75.4°, I = 33.2

```
data_NaAg2H8Pt3
_symmetry_space_group_name_H-M 'P 1'
_symmetry_Int_Tables_number 1
_symmetry_space_group_name_Hall 'P 1'
_cell_length_a 6.0039
_cell_length_b 6.0039
_cell_length_c 6.0039
_cell_angle_alpha 58.33
_cell_angle_beta 58.33
_cell_angle_gamma 58.33
loop_
_atom_site_label
_atom_site_type_symbol
_atom_site_fract_x
_atom_site_fract_y
_atom_site_fract_z
_atom_site_occupancy
Na1 Na 0.0000 0.0000 0.0000 1
Ag1 Ag 0.3713 0.3713 0.3713 1
Ag2 Ag 0.7315 0.7315 0.7315 1
H1 H 0.1161 0.1161 0.5458 1
H2 H 0.1161 0.5458 0.1161 1
H3 H 0.1474 0.1474 0.1474 1
H4 H 0.1693 0.6331 0.6331 1
H5 H 0.5458 0.1161 0.1161 1
H6 H 0.6003 0.6003 0.6003 1
H7 H 0.6331 0.1693 0.6331 1
H8 H 0.6331 0.6331 0.1693 1
Pt1 Pt 0.3707 0.3707 0.8681 1
Pt2 Pt 0.3707 0.8681 0.3707 1
Pt3 Pt 0.8681 0.3707 0.3707 1
```